Entry 1:
Calculated powder XRD pattern
Compound: RbCeRe2O8
Radiation: Cu Kα (weighted mean of Kα1 and Kα2)
Structure: the GGA-PBE geometry in Alexandria
Neutral-atom scattering factors, no anomalous dispersion.

Most intense lines, 2θ from 10° to 80°, sorted by position:
2θ 20.08, intensity 1000
2θ 27.85, intensity 506
2θ 29.23, intensity 534
2θ 37.58, intensity 150
2θ 40.81, intensity 235
2θ 46.80, intensity 208
2θ 50.99, intensity 189
2θ 54.60, intensity 199

Atomic structure:
```
RbCeRe2O8
1.0
6.110 0.000 0.000
-3.055 5.292 0.000
0.000 0.000 8.051
Rb Ce Re O
1 1 2 8
direct
0.000 0.000 0.000
0.000 0.000 0.500
0.333 0.667 0.759
0.667 0.333 0.241
0.172 0.345 0.680
0.173 0.828 0.680
0.333 0.667 0.978
0.345 0.173 0.320
0.655 0.827 0.680
0.667 0.333 0.022
0.827 0.172 0.320
0.828 0.655 0.320
```

Entry 2:
Calculated powder XRD pattern
Compound: Nd3SmCu3
Radiation: Cu Kα (weighted mean of Kα1 and Kα2)
Structure: the GGA-PBE geometry in Alexandria
Neutral-atom scattering factors, no anomalous dispersion.

Most intense lines, 2θ from 10° to 80°, sorted by position:
2θ 24.99, intensity 457
2θ 28.19, intensity 698
2θ 29.86, intensity 382
2θ 31.59, intensity 544
2θ 31.80, intensity 699
2θ 33.82, intensity 662
2θ 35.65, intensity 1000
2θ 37.39, intensity 785

Atomic structure:
```
Nd3SmCu3
1.0
4.814 -5.301 0.000
4.814 5.301 0.000
-0.125 0.000 7.026
Nd Sm Cu
6 2 6
direct
0.174 0.826 0.000
0.261 0.739 0.500
0.347 0.347 0.126
0.653 0.653 0.874
0.739 0.261 0.500
0.826 0.174 0.000
0.254 0.254 0.631
0.746 0.746 0.369
0.017 0.505 0.795
0.059 0.059 0.328
0.495 0.983 0.205
0.505 0.017 0.795
0.941 0.941 0.672
0.983 0.495 0.205
```